Computed X-ray powder pattern of SrMo3P2O14 for Cu Ka, from DFT lattice parameters and positions (PBE+U).

Principal peaks in the range 2θ = 10–80°, by angle:
21.68°, I = 578, (1 1 1)
22.56°, I = 313, (2 0 0)
24.87°, I = 771, (2 1 -1)
26.40°, I = 260, (2 1 0)
26.82°, I = 468, (0 0 3)
27.28°, I = 1000, (0 2 0)
27.57°, I = 477, (2 0 -3)
30.16°, I = 258, (0 1 3)

Structural model:
Cell: 8.5550 6.5387 10.8245 Å, 90.00 112.87 90.00°
Atoms (fractional coordinates):
Sr  0.0092  0.2500  0.2463
Sr  0.9908  0.7500  0.7537
Mo  0.2459  0.7500  0.1691
Mo  0.2581  0.7500  0.4904
Mo  0.3332  0.2500  0.8754
Mo  0.6668  0.7500  0.1246
Mo  0.7419  0.2500  0.5096
Mo  0.7541  0.2500  0.8309
P  0.3428  0.2500  0.5618
P  0.3752  0.2500  0.1987
P  0.6248  0.7500  0.8013
P  0.6572  0.7500  0.4382
O  0.0797  0.7500  0.0147
O  0.1138  0.7500  0.5665
O  0.1320  0.7500  0.2991
O  0.2126  0.0270  0.8576
O  0.2126  0.4730  0.8576
O  0.2583  0.0647  0.1923
O  0.2583  0.4353  0.1923
O  0.2656  0.0641  0.4679
O  0.2656  0.4359  0.4679
O  0.2754  0.2500  0.6737
O  0.4316  0.2500  0.0792
O  0.4432  0.7500  0.1140
O  0.4612  0.7500  0.3851
O  0.4691  0.7500  0.6697
O  0.5309  0.2500  0.3303
O  0.5388  0.2500  0.6149
O  0.5568  0.2500  0.8860
O  0.5684  0.7500  0.9208
O  0.7246  0.7500  0.3263
O  0.7344  0.5641  0.5321
O  0.7344  0.9359  0.5321
O  0.7417  0.5647  0.8077
O  0.7417  0.9353  0.8077
O  0.7874  0.5270  0.1424
O  0.7874  0.9730  0.1424
O  0.8680  0.2500  0.7009
O  0.8862  0.2500  0.4335
O  0.9203  0.2500  0.9853